This entry pairs a crystal structure of Sr3CoRuO6 with its computed powder XRD pattern. Radiation: Cu Kα (λ = 1.5418 Å). Structure: a structure optimized by DFT (GGA+U).
Kinematic intensities with the Lorentz-polarization factor, no thermal factor.

Atomic structure:
Lattice parameters (Å, degrees): 6.680 6.699 6.875 91.71 91.88 93.17
Fractional positions:
Sr (0.000, 0.000, 0.000)
Sr (0.134, 0.499, 0.857)
Sr (0.271, 0.364, 0.357)
Sr (0.500, 0.865, 0.140)
Sr (0.635, 0.731, 0.640)
Sr (0.771, 0.230, 0.497)
Co (0.119, 0.881, 0.505)
Co (0.651, 0.349, 0.995)
Ru (0.385, 0.115, 0.749)
Ru (0.886, 0.615, 0.249)
O (0.093, 0.152, 0.658)
O (0.165, 0.693, 0.188)
O (0.301, 0.836, 0.804)
O (0.358, 0.214, 0.035)
O (0.412, 0.015, 0.463)
O (0.469, 0.394, 0.694)
O (0.606, 0.536, 0.309)
O (0.677, 0.078, 0.840)
O (0.783, 0.642, 0.963)
O (0.853, 0.907, 0.341)
O (0.918, 0.323, 0.156)
O (0.987, 0.588, 0.535)

Main lines, low angle first (2θ = 10–90°):
| d (Å) | two_theta | intensity | h k l |
| --- | --- | --- | --- |
| 4.865 | 18.23 | 10 | 0 1 -1 |
| 4.710 | 18.84 | 11 | 1 0 1 |
| 3.014 | 29.64 | 24 | 0 1 2 |
| 2.920 | 30.61 | 24 | 2 1 0 |
| 2.809 | 31.86 | 100 | 1 1 -2 |
| 2.298 | 39.20 | 12 | 2 2 0 |
| 2.144 | 42.15 | 11 | 1 0 3 |
| 2.073 | 43.66 | 11 | -1 1 3 |
| 2.010 | 45.10 | 11 | 1 3 -1 |
| 1.619 | 56.86 | 12 | 3 -3 0 |


This entry pairs a crystal structure of Cr2XeF10 with its computed powder XRD pattern. Radiation: Cu Kα (λ = 1.5418 Å). Structure: a structure optimized by DFT (GGA+U).
Kinematic intensities with the Lorentz-polarization factor, no thermal factor.

Atomic structure:
Lattice parameters (Å, degrees): 8.916 9.545 10.831 75.79 81.65 88.12
Fractional positions:
Cr (0.082, 0.338, 0.211)
Cr (0.100, 0.742, 0.058)
Cr (0.209, 0.249, 0.527)
Cr (0.282, 0.084, 0.876)
Cr (0.718, 0.916, 0.124)
Cr (0.791, 0.751, 0.473)
Cr (0.900, 0.258, 0.942)
Cr (0.918, 0.662, 0.789)
Xe (0.302, 0.882, 0.435)
Xe (0.423, 0.483, 0.778)
Xe (0.577, 0.517, 0.222)
Xe (0.698, 0.118, 0.565)
F (0.047, 0.659, 0.926)
F (0.057, 0.561, 0.178)
F (0.065, 0.126, 0.522)
F (0.089, 0.656, 0.682)
F (0.097, 0.384, 0.576)
F (0.101, 0.150, 0.238)
F (0.110, 0.828, 0.182)
F (0.124, 0.217, 0.920)
F (0.134, 0.928, 0.929)
F (0.207, 0.344, 0.345)
F (0.216, 0.144, 0.708)
F (0.247, 0.387, 0.093)
F (0.276, 0.685, 0.403)
F (0.293, 0.700, 0.026)
F (0.332, 0.050, 0.031)
F (0.349, 0.091, 0.469)
F (0.392, 0.328, 0.519)
F (0.419, 0.974, 0.812)
F (0.422, 0.700, 0.741)
F (0.430, 0.245, 0.820)
F (0.570, 0.755, 0.180)
F (0.578, 0.300, 0.259)
F (0.581, 0.026, 0.188)
F (0.608, 0.672, 0.481)
F (0.651, 0.909, 0.531)
F (0.668, 0.950, 0.969)
F (0.707, 0.300, 0.974)
F (0.724, 0.315, 0.597)
F (0.753, 0.613, 0.907)
F (0.784, 0.856, 0.292)
F (0.793, 0.656, 0.655)
F (0.866, 0.072, 0.071)
F (0.876, 0.783, 0.080)
F (0.890, 0.172, 0.818)
F (0.899, 0.850, 0.762)
F (0.903, 0.616, 0.424)
F (0.911, 0.344, 0.318)
F (0.935, 0.874, 0.478)
F (0.943, 0.439, 0.822)
F (0.953, 0.341, 0.074)

Main lines, low angle first (2θ = 10–90°):
| d (Å) | two_theta | intensity | h k l |
| --- | --- | --- | --- |
| 5.091 | 17.42 | 38 | 0 1 2 |
| 4.169 | 21.31 | 41 | -1 1 2 |
| 4.123 | 21.55 | 36 | 0 1 -2 |
| 4.100 | 21.67 | 56 | 1 -2 0 |
| 3.976 | 22.36 | 74 | 2 1 0 |
| 3.868 | 22.99 | 55 | 2 0 -1 |
| 3.693 | 24.10 | 49 | -2 1 1 |
| 3.626 | 24.55 | 100 | 2 0 2 |
| 3.488 | 25.54 | 45 | 1 2 -1 |
| 3.463 | 25.73 | 35 | 0 0 3 |